Record 1
The following is a calculated powder diffraction line list of LaNbBrF2. It was derived from the GGA-PBE geometry in Alexandria, using Cu Kα, 1.54184 Å.
Neutral-atom scattering factors, no anomalous dispersion.

Atomic structure:
```
data_LaNbBrF2
_space_group_name_H-M_alt 'P 4/m m m'
_space_group_IT_number 123
_space_group_name_Hall '-P 4 2'
_cell_length_a 4.2930
_cell_length_b 4.2930
_cell_length_c 5.9401
_cell_angle_alpha 90.00
_cell_angle_beta 90.00
_cell_angle_gamma 90.00
loop_
_atom_site_label
_atom_site_fract_x
_atom_site_fract_y
_atom_site_fract_z
La1 0.0000 0.0000 0.0000
Nb1 0.0000 0.0000 0.5000
Br1 0.5000 0.5000 0.0000
F1 0.0000 0.5000 0.5000
```

The 10 most intense peaks (2θ from 10° to 90°), sorted by position:
| d (Å) | two_theta | I_rel | hkl |
| --- | --- | --- | --- |
| 4.293 | 20.69 | 72 | 1 0 0 |
| 3.036 | 29.42 | 100 | 1 1 0 |
| 2.970 | 30.09 | 79 | 0 0 2 |
| 2.703 | 33.14 | 52 | 1 1 1 |
| 2.443 | 36.80 | 33 | 1 0 2 |
| 2.147 | 42.10 | 62 | 2 0 0 |
| 2.123 | 42.59 | 74 | 1 1 2 |
| 1.740 | 52.61 | 63 | 2 0 2 |
| 1.352 | 69.56 | 26 | 2 2 2 |
| 1.235 | 77.27 | 26 | 3 1 2 |

=====

Record 2
The following is a calculated powder diffraction line list of La8Rh3Br4F. It was derived from the GGA-PBE geometry in Alexandria, using Cu Kα, 1.54184 Å.
Neutral-atom scattering factors, no anomalous dispersion.

Atomic structure:
```
data_La8Rh3Br4F
_space_group_name_H-M_alt 'C 1 2/m 1'
_space_group_IT_number 12
_cell_length_a 14.2899
_cell_length_b 8.2444
_cell_length_c 9.2552
_cell_angle_alpha 90.00
_cell_angle_beta 120.99
_cell_angle_gamma 90.00
loop_
_space_group_symop_operation_xyz
'x,y,z'
'-x,-y,-z'
'-x,y,-z'
'x,-y,z'
'x+1/2,y+1/2,z'
'-x+1/2,-y+1/2,-z'
'-x+1/2,y+1/2,-z'
'x+1/2,-y+1/2,z'
loop_
_atom_site_label
_atom_site_fract_x
_atom_site_fract_y
_atom_site_fract_z
La1 0.0156 0.2493 0.2980
La2 0.2320 0.5000 0.6956
La3 0.2344 0.0000 0.7026
Rh1 0.0000 0.5000 0.5000
Rh2 0.2500 0.2500 0.5000
Br1 0.0000 0.0000 0.0000
Br2 0.0000 0.5000 0.0000
Br3 0.2500 0.2500 0.0000
F1 0.0000 0.0000 0.5000
```

The 10 most intense peaks (2θ from 10° to 90°), sorted by position:
| d (Å) | two_theta | I_rel | hkl |
| --- | --- | --- | --- |
| 7.935 | 11.15 | 13 | 0 0 1 |
| 3.062 | 29.16 | 100 | 4 0 0 |
| 2.857 | 31.31 | 9 | 4 0 -3 |
| 2.463 | 36.49 | 11 | 2 2 -3 |
| 2.286 | 39.42 | 31 | 2 2 2 |
| 2.062 | 43.91 | 36 | 0 4 0 |
| 1.851 | 49.23 | 8 | 4 0 -5 |
| 1.710 | 53.58 | 18 | 4 4 0 |
| 1.531 | 60.47 | 9 | 8 0 0 |
| 1.316 | 71.70 | 15 | 10 2 -2 |

=====

Record 3
The following is a calculated powder diffraction line list of LiBrF5. It was derived from the GGA-PBE geometry in Alexandria, using Cu Kα, 1.54184 Å.
Neutral-atom scattering factors, no anomalous dispersion.

Atomic structure:
```
data_LiBrF5
_space_group_name_H-M_alt 'P -1'
_space_group_IT_number 2
_cell_length_a 4.7655
_cell_length_b 5.4579
_cell_length_c 8.9237
_cell_angle_alpha 95.39
_cell_angle_beta 91.85
_cell_angle_gamma 113.52
loop_
_space_group_symop_operation_xyz
'x,y,z'
'-x,-y,-z'
loop_
_atom_site_label
_atom_site_fract_x
_atom_site_fract_y
_atom_site_fract_z
Li1 0.0000 0.0000 0.0000
Li2 0.0000 0.0000 0.5000
Br1 0.3737 0.6788 0.2487
F1 0.1058 0.7089 0.1039
F2 0.2310 0.9796 0.8278
F3 0.3222 0.9610 0.3727
F4 0.3233 0.3300 0.6048
F5 0.3919 0.3847 0.1306
```

The 10 most intense peaks (2θ from 10° to 90°), sorted by position:
| d (Å) | two_theta | I_rel | hkl |
| --- | --- | --- | --- |
| 4.568 | 19.43 | 100 | 0 1 -1 |
| 4.429 | 20.05 | 59 | 0 0 2 |
| 4.357 | 20.38 | 41 | 1 0 0 |
| 4.134 | 21.50 | 46 | 0 1 1 |
| 4.034 | 22.04 | 42 | 1 0 -1 |
| 3.856 | 23.06 | 31 | 1 -1 1 |
| 3.785 | 23.50 | 54 | -1 1 1 |
| 2.477 | 36.26 | 53 | 1 1 -2 |
| 2.451 | 36.67 | 24 | 1 -1 3 |
| 2.213 | 40.77 | 33 | -1 2 2 |

=====

Record 4
The following is a calculated powder diffraction line list of LiBr2F8. It was derived from the GGA-PBE geometry in Alexandria, using Cu Kα, 1.54184 Å.
Neutral-atom scattering factors, no anomalous dispersion.

Atomic structure:
```
data_LiBr2F8
_space_group_name_H-M_alt 'C 1 2/c 1'
_space_group_IT_number 15
_cell_length_a 9.8277
_cell_length_b 9.3096
_cell_length_c 9.6475
_cell_angle_alpha 90.00
_cell_angle_beta 108.05
_cell_angle_gamma 90.00
loop_
_space_group_symop_operation_xyz
'x,y,z'
'-x,-y,-z'
'-x,y,-z+1/2'
'x,-y,z+1/2'
'x+1/2,y+1/2,z'
'-x+1/2,-y+1/2,-z'
'-x+1/2,y+1/2,-z+1/2'
'x+1/2,-y+1/2,z+1/2'
loop_
_atom_site_label
_atom_site_fract_x
_atom_site_fract_y
_atom_site_fract_z
Li1 0.0000 0.2128 0.2500
Br1 0.2050 0.0901 0.5861
F1 0.0655 0.0568 0.3962
F2 0.1349 0.2825 0.5663
F3 0.1476 0.3538 0.2404
F4 0.2362 0.4011 0.8975
```

The 10 most intense peaks (2θ from 10° to 90°), sorted by position:
| d (Å) | two_theta | I_rel | hkl |
| --- | --- | --- | --- |
| 6.595 | 13.43 | 28 | 1 1 0 |
| 6.014 | 14.73 | 74 | 1 1 -1 |
| 4.873 | 18.20 | 30 | 1 1 1 |
| 4.670 | 19.00 | 71 | 2 0 0 |
| 4.223 | 21.04 | 100 | 1 1 -2 |
| 4.151 | 21.41 | 16 | 0 2 1 |
| 3.430 | 25.98 | 18 | 1 1 2 |
| 3.345 | 26.65 | 41 | 2 2 -1 |
| 2.902 | 30.82 | 64 | 3 1 -2 |
| 2.032 | 44.59 | 22 | 1 1 4 |

=====

Record 5
The following is a calculated powder diffraction line list of Li5BrO4F2. It was derived from the GGA-PBE geometry in Alexandria, using Cu Kα, 1.54184 Å.
Neutral-atom scattering factors, no anomalous dispersion.

Atomic structure:
```
data_Li5BrO4F2
_space_group_name_H-M_alt 'A m m 2'
_space_group_IT_number 38
_cell_length_a 5.8577
_cell_length_b 8.9224
_cell_length_c 4.9262
_cell_angle_alpha 90.00
_cell_angle_beta 90.00
_cell_angle_gamma 90.00
loop_
_space_group_symop_operation_xyz
'x,y,z'
'-x,-y,z'
'-x,y,z'
'x,-y,z'
'x,y+1/2,z+1/2'
'-x,-y+1/2,z+1/2'
'-x,y+1/2,z+1/2'
'x,-y+1/2,z+1/2'
loop_
_atom_site_label
_atom_site_fract_x
_atom_site_fract_y
_atom_site_fract_z
Li1 0.0000 0.0000 0.0000
Li2 0.2470 0.1875 0.5070
Br1 0.5000 0.0000 0.0296
O1 0.2525 0.0000 0.2638
O2 0.5000 0.1807 0.8142
F1 0.0000 0.1776 0.7820
```

The 10 most intense peaks (2θ from 10° to 90°), sorted by position:
| d (Å) | two_theta | I_rel | hkl |
| --- | --- | --- | --- |
| 5.858 | 15.12 | 70 | 1 0 0 |
| 4.461 | 19.90 | 26 | 0 2 0 |
| 4.313 | 20.60 | 100 | 0 1 1 |
| 3.549 | 25.09 | 53 | 1 2 0 |
| 3.473 | 25.65 | 100 | 1 1 1 |
| 2.929 | 30.52 | 28 | 2 0 0 |
| 2.546 | 35.25 | 67 | 0 3 1 |
| 2.423 | 37.11 | 76 | 2 1 1 |
| 2.335 | 38.56 | 26 | 1 3 1 |
| 1.736 | 52.71 | 57 | 2 2 2 |

=====

Record 6
The following is a calculated powder diffraction line list of Rb2LiBrF6. It was derived from the GGA-PBE geometry in Alexandria, using Cu Kα, 1.54184 Å.
Neutral-atom scattering factors, no anomalous dispersion.

Atomic structure:
```
data_Rb2LiBrF6
_space_group_name_H-M_alt 'P m m n'
_space_group_IT_number 59
_cell_length_a 6.7736
_cell_length_b 8.0455
_cell_length_c 6.5504
_cell_angle_alpha 90.00
_cell_angle_beta 90.00
_cell_angle_gamma 90.00
loop_
_space_group_symop_operation_xyz
'x,y,z'
'-x,-y,-z'
'-x+1/2,-y+1/2,z'
'x+1/2,y+1/2,-z'
'x+1/2,-y,-z'
'-x+1/2,y,z'
'-x,y+1/2,-z'
'x,-y+1/2,z'
loop_
_atom_site_label
_atom_site_fract_x
_atom_site_fract_y
_atom_site_fract_z
Rb1 0.2500 0.0053 0.1403
Li1 0.2500 0.2500 0.7193
Br1 0.2500 0.7500 0.6184
F1 0.0307 0.2500 0.8907
F2 0.0344 0.2500 0.3877
F3 0.2500 0.5096 0.6224
```

The 10 most intense peaks (2θ from 10° to 90°), sorted by position:
| d (Å) | two_theta | I_rel | hkl |
| --- | --- | --- | --- |
| 3.428 | 25.99 | 39 | 0 2 1 |
| 3.387 | 26.31 | 48 | 2 0 0 |
| 3.059 | 29.20 | 78 | 1 2 1 |
| 3.034 | 29.44 | 34 | 0 1 2 |
| 2.949 | 30.31 | 100 | 1 0 2 |
| 2.591 | 34.62 | 35 | 2 2 0 |
| 2.409 | 37.32 | 30 | 2 2 1 |
| 2.011 | 45.07 | 31 | 0 4 0 |
| 1.859 | 49.00 | 36 | 3 0 2 |
| 1.662 | 55.29 | 34 | 1 4 2 |

=====

Record 7
The following is a calculated powder diffraction line list of MgBrF3. It was derived from the GGA-PBE geometry in Alexandria, using Cu Kα, 1.54184 Å.
Neutral-atom scattering factors, no anomalous dispersion.

Atomic structure:
```
data_MgBrF3
_space_group_name_H-M_alt 'P m -3 m'
_space_group_IT_number 221
_space_group_name_Hall '-P 4 2 3'
_cell_length_a 4.0795
_cell_length_b 4.0795
_cell_length_c 4.0795
_cell_angle_alpha 90.00
_cell_angle_beta 90.00
_cell_angle_gamma 90.00
loop_
_atom_site_label
_atom_site_fract_x
_atom_site_fract_y
_atom_site_fract_z
Mg1 0.0000 0.0000 0.0000
Br1 0.5000 0.5000 0.5000
F1 0.0000 0.0000 0.5000
```

The 10 most intense peaks (2θ from 10° to 90°), sorted by position:
| d (Å) | two_theta | I_rel | hkl |
| --- | --- | --- | --- |
| 4.080 | 21.79 | 20 | 1 0 0 |
| 2.885 | 31.00 | 100 | 1 1 0 |
| 2.355 | 38.21 | 64 | 1 1 1 |
| 2.040 | 44.41 | 63 | 2 0 0 |
| 1.665 | 55.15 | 40 | 2 1 1 |
| 1.442 | 64.62 | 36 | 2 2 0 |
| 1.290 | 73.39 | 18 | 3 1 0 |
| 1.230 | 77.62 | 18 | 3 1 1 |
| 1.178 | 81.78 | 12 | 2 2 2 |
| 1.090 | 89.99 | 22 | 3 2 1 |

=====

Record 8
The following is a calculated powder diffraction line list of MgTiBrF2. It was derived from the GGA-PBE geometry in Alexandria, using Cu Kα, 1.54184 Å.
Neutral-atom scattering factors, no anomalous dispersion.

Atomic structure:
```
data_MgTiBrF2
_space_group_name_H-M_alt 'P 4/m m m'
_space_group_IT_number 123
_space_group_name_Hall '-P 4 2'
_cell_length_a 4.1386
_cell_length_b 4.1386
_cell_length_c 5.6833
_cell_angle_alpha 90.00
_cell_angle_beta 90.00
_cell_angle_gamma 90.00
loop_
_atom_site_label
_atom_site_fract_x
_atom_site_fract_y
_atom_site_fract_z
Mg1 0.0000 0.0000 0.0000
Ti1 0.5000 0.5000 0.5000
Br1 0.5000 0.5000 0.0000
F1 0.0000 0.5000 0.5000
```

The 10 most intense peaks (2θ from 10° to 90°), sorted by position:
| d (Å) | two_theta | I_rel | hkl |
| --- | --- | --- | --- |
| 4.139 | 21.47 | 100 | 1 0 0 |
| 2.926 | 30.55 | 49 | 1 1 0 |
| 2.842 | 31.48 | 66 | 0 0 2 |
| 2.602 | 34.47 | 54 | 1 1 1 |
| 2.343 | 38.43 | 42 | 1 0 2 |
| 2.069 | 43.75 | 50 | 2 0 0 |
| 2.039 | 44.44 | 35 | 1 1 2 |
| 1.851 | 49.23 | 20 | 2 1 0 |
| 1.673 | 54.89 | 48 | 2 0 2 |
| 1.551 | 59.61 | 22 | 2 1 2 |